Record 1
The following is a calculated powder diffractogram of Ag3SbS3. It was derived from DFT lattice parameters and positions (PBE), using Cu Kα X-rays.
Intensities are scaled so that the largest is 100.

Most intense lines, 5 to 70 degrees two-theta, sorted by position:
two_theta	I/Imax
24.6	31
25.3	21
26.9	100
29.2	59
32.3	14
40.1	31
45.9	28
49.1	18
50.4	18
51.0	16

Crystal structure
a = 7.6033 Å, b = 7.6033 Å, c = 7.6033 Å
α = 106.89°, β = 106.89°, γ = 106.89°
Element x y z (fractional)
Ag1 0.0219 0.9493 0.5288
Ag2 0.0288 0.4492 0.5219
Ag3 0.4492 0.5219 0.0288
Ag4 0.5219 0.0288 0.4492
Ag5 0.5288 0.0219 0.9493
Ag6 0.9492 0.5288 0.0219
Sb1 0.4704 0.4704 0.4704
Sb2 0.9704 0.9704 0.9704
S1 0.1432 0.8915 0.2513
S2 0.2513 0.1432 0.8915
S3 0.3915 0.6432 0.7513
S4 0.6432 0.7513 0.3915
S5 0.7513 0.3915 0.6432
S6 0.8915 0.2513 0.1432

=====

Record 2
The following is a calculated powder diffractogram of ThSi2Os2. It was derived from DFT lattice parameters and positions (PBE), using Cu Kα X-rays.
Intensities are scaled so that the largest is 100.

Most intense lines, 5 to 70 degrees two-theta, sorted by position:
two_theta	I/Imax
18.1	9
22.9	27
34.7	21
35.1	100
36.6	19
42.7	36
56.1	11
57.5	21
62.0	12
65.0	18

Crystal structure
a = 5.7459 Å, b = 5.7459 Å, c = 5.7459 Å
α = 136.77°, β = 136.77°, γ = 62.80°
Element x y z (fractional)
Th1 0.0000 0.0000 0.0000
Si1 0.3696 0.3696 0.0000
Si2 0.6304 0.6304 0.0000
Os1 0.2500 0.7500 0.5000
Os2 0.7500 0.2500 0.5000

=====

Record 3
The following is a calculated powder diffractogram of Tb2Si5Rh3. It was derived from DFT lattice parameters and positions (PBE), using Cu Kα X-rays.
Intensities are scaled so that the largest is 100.

Most intense lines, 5 to 70 degrees two-theta, sorted by position:
two_theta	I/Imax
23.7	24
24.3	42
30.2	41
31.3	36
34.5	90
35.4	68
35.6	97
35.7	53
37.1	24
44.1	100

Crystal structure
a = 8.1273 Å, b = 8.1273 Å, c = 5.7164 Å
α = 108.97°, β = 108.97°, γ = 93.47°
Element x y z (fractional)
Tb1 0.0991 0.3672 0.2398
Tb2 0.3672 0.0991 0.7398
Tb3 0.6328 0.9009 0.2602
Tb4 0.9009 0.6328 0.7602
Si1 0.0124 0.9876 0.7500
Si2 0.2338 0.4420 0.8386
Si3 0.2760 0.7240 0.7500
Si4 0.2896 0.7104 0.2500
Si5 0.4420 0.2338 0.3386
Si6 0.5580 0.7662 0.6614
Si7 0.7104 0.2896 0.7500
Si8 0.7240 0.2760 0.2500
Si9 0.7662 0.5580 0.1614
Si10 0.9876 0.0124 0.2500
Rh1 0.0396 0.7610 0.3737
Rh2 0.2390 0.9604 0.1263
Rh3 0.4980 0.5020 0.2500
Rh4 0.5020 0.4980 0.7500
Rh5 0.7610 0.0396 0.8737
Rh6 0.9604 0.2390 0.6263

=====

Record 4
The following is a calculated powder diffractogram of HfMo2. It was derived from DFT lattice parameters and positions (PBE), using Cu Kα X-rays.
Intensities are scaled so that the largest is 100.

Most intense lines, 5 to 70 degrees two-theta, sorted by position:
two_theta	I/Imax
33.3	49
36.4	63
39.0	19
39.4	100
40.1	49
41.1	16
61.6	26
63.6	24
67.0	22
70.0	25

Crystal structure
a = 5.3778 Å, b = 5.3778 Å, c = 17.4563 Å
α = 90.00°, β = 90.00°, γ = 120.00°
Element x y z (fractional)
Hf1 0.0000 0.0000 0.0944
Hf2 0.0000 0.0000 0.4056
Hf3 0.0000 0.0000 0.5944
Hf4 0.0000 0.0000 0.9056
Hf5 0.3333 0.6667 0.1565
Hf6 0.3333 0.6667 0.3435
Hf7 0.6667 0.3333 0.6565
Hf8 0.6667 0.3333 0.8435
Mo1 0.0000 0.5000 0.0000
Mo2 0.0000 0.5000 0.5000
Mo3 0.1634 0.3268 0.7500
Mo4 0.1634 0.8366 0.7500
Mo5 0.3268 0.1634 0.2500
Mo6 0.3333 0.6667 0.6239
Mo7 0.3333 0.6667 0.8761
Mo8 0.5000 0.0000 0.0000
Mo9 0.5000 0.0000 0.5000
Mo10 0.5000 0.5000 0.0000
Mo11 0.5000 0.5000 0.5000
Mo12 0.6667 0.3333 0.1239
Mo13 0.6667 0.3333 0.3761
Mo14 0.6732 0.8366 0.7500
Mo15 0.8366 0.1634 0.2500
Mo16 0.8366 0.6732 0.2500

=====

Record 5
The following is a calculated powder diffractogram of TeO2. It was derived from DFT lattice parameters and positions (PBE), using Cu Kα X-rays.
Intensities are scaled so that the largest is 100.

Most intense lines, 5 to 70 degrees two-theta, sorted by position:
two_theta	I/Imax
25.4	100
28.0	17
29.3	63
29.6	65
35.6	14
36.7	11
47.0	38
47.7	35
52.1	12
54.7	24

Crystal structure
a = 4.8934 Å, b = 5.0438 Å, c = 7.6486 Å
α = 90.00°, β = 90.00°, γ = 90.00°
Element x y z (fractional)
Te1 0.2144 0.0306 0.3782
Te2 0.2856 0.9694 0.8782
Te3 0.7144 0.4694 0.6218
Te4 0.7856 0.5306 0.1218
O1 0.0294 0.6337 0.9388
O2 0.0930 0.2350 0.1824
O3 0.4070 0.7650 0.6824
O4 0.4706 0.3663 0.4388
O5 0.5294 0.8663 0.0612
O6 0.5930 0.2650 0.8176
O7 0.9070 0.7350 0.3176
O8 0.9706 0.1337 0.5612

=====

Record 6
The following is a calculated powder diffractogram of Ho3FeB7. It was derived from DFT lattice parameters and positions (PBE), using Cu Kα X-rays.
Intensities are scaled so that the largest is 100.

Most intense lines, 5 to 70 degrees two-theta, sorted by position:
two_theta	I/Imax
26.8	78
30.0	98
31.2	70
32.9	59
34.5	42
39.9	100
40.4	40
44.0	40
57.8	38
62.9	42

Crystal structure
a = 7.9850 Å, b = 7.9850 Å, c = 9.2512 Å
α = 90.00°, β = 90.00°, γ = 155.40°
Element x y z (fractional)
Ho1 0.1049 0.8951 0.5601
Ho2 0.1049 0.8951 0.9399
Ho3 0.2432 0.7568 0.2500
Ho4 0.7568 0.2432 0.7500
Ho5 0.8951 0.1049 0.0601
Ho6 0.8951 0.1049 0.4399
Fe1 0.0542 0.9458 0.2500
Fe2 0.9458 0.0542 0.7500
B1 0.2725 0.7275 0.5331
B2 0.2725 0.7275 0.9669
B3 0.3701 0.6299 0.6531
B4 0.3701 0.6299 0.8469
B5 0.4592 0.5408 0.2500
B6 0.4785 0.5215 0.5985
B7 0.4785 0.5215 0.9015
B8 0.5215 0.4785 0.0985
B9 0.5215 0.4785 0.4015
B10 0.5408 0.4592 0.7500
B11 0.6299 0.3701 0.1531
B12 0.6299 0.3701 0.3469
B13 0.7275 0.2725 0.0331
B14 0.7275 0.2725 0.4669

=====

Record 7
The following is a calculated powder diffractogram of CaErRh2. It was derived from DFT lattice parameters and positions (PBE), using Cu Kα X-rays.
Intensities are scaled so that the largest is 100.

Most intense lines, 5 to 70 degrees two-theta, sorted by position:
two_theta	I/Imax
22.6	20
37.4	100
44.1	11
53.9	17
59.1	5
67.4	34

Crystal structure
a = 4.8145 Å, b = 4.8145 Å, c = 4.8145 Å
α = 60.00°, β = 60.00°, γ = 60.00°
Element x y z (fractional)
Ca1 0.0000 0.0000 0.0000
Er1 0.5000 0.5000 0.5000
Rh1 0.2500 0.2500 0.2500
Rh2 0.7500 0.7500 0.7500

=====

Record 8
The following is a calculated powder diffractogram of TiC. It was derived from DFT lattice parameters and positions (PBE), using Cu Kα X-rays.
Intensities are scaled so that the largest is 100.

Most intense lines, 5 to 70 degrees two-theta, sorted by position:
two_theta	I/Imax
35.9	87
41.7	100
60.4	57

Crystal structure
a = 3.0658 Å, b = 3.0658 Å, c = 3.0658 Å
α = 60.00°, β = 60.00°, γ = 60.00°
Element x y z (fractional)
Ti1 0.0000 0.0000 0.0000
C1 0.5000 0.5000 0.5000